Pr3Ho8Th: simulated X-ray powder pattern (Cu Kα (λ = 1.5418 Å)), based on a crystal structure in Alexandria, relaxed with GGA-PBE.

Top 10 peaks for 5° ≤ 2θ ≤ 70°, sorted by position:
- 15.82°, I 15
- 30.94°, I 11
- 31.31°, I 100
- 32.02°, I 43
- 34.79°, I 14
- 35.71°, I 33
- 45.37°, I 12
- 51.50°, I 16
- 55.71°, I 26
- 65.31°, I 22

Structural model:
a b c (Å): 8.7321 8.7321 8.7321
angles (deg): 136.99 98.35 97.10
Positions (direct):
Pr1 0.0000 0.0000 0.0000
Pr2 0.2603 0.5000 0.7603
Pr3 0.7397 0.5000 0.2397
Ho1 0.0797 0.8279 0.2518
Ho2 0.2505 0.5019 0.2514
Ho3 0.2505 0.9991 0.7486
Ho4 0.4240 0.1721 0.2518
Ho5 0.5760 0.8279 0.7482
Ho6 0.7495 0.0009 0.2514
Ho7 0.7495 0.4981 0.7486
Ho8 0.9203 0.1721 0.7482
Th1 0.5000 0.0000 0.5000